[1]
Diffraction record for YTmCo2C2. The X-ray powder pattern is computed, not measured: it uses a DFT-relaxed cell (GGA-PBE, OQMD) and Cu Kα.
No peak broadening, texture or thermal motion is included.

Principal peaks in the range 10 to 90 degrees two-theta, low angle first:
d = 6.847 Å, 2θ 12.93, intensity 13; d = 3.603 Å, 2θ 24.71, intensity 16; d = 2.548 Å, 2θ 35.22, intensity 48; d = 2.482 Å, 2θ 36.19, intensity 100; d = 2.044 Å, 2θ 44.32, intensity 9; d = 1.802 Å, 2θ 50.67, intensity 21; d = 1.712 Å, 2θ 53.53, intensity 9; d = 1.458 Å, 2θ 63.84, intensity 36; d = 1.421 Å, 2θ 65.72, intensity 15; d = 1.241 Å, 2θ 76.81, intensity 11; d = 1.139 Å, 2θ 85.15, intensity 7; d = 1.133 Å, 2θ 85.72, intensity 8

Crystal structure
Cell: 3.603 3.603 6.847 Å, 90.00 90.00 90.00°
Element x y z (fractional)
Y: 0.000 0.000 0.000
Tm: 0.000 0.000 0.500
Co: 0.500 0.500 0.258
Co: 0.500 0.500 0.742
C: 0.000 0.500 0.255
C: 0.500 0.000 0.745

[2]
Diffraction record for YCoC. The X-ray powder pattern is computed, not measured: it uses a DFT-relaxed cell (GGA-PBE, OQMD) and Cu Kα.
No peak broadening, texture or thermal motion is included.

Principal peaks in the range 10 to 90 degrees two-theta, low angle first:
d = 3.622 Å, 2θ 24.57, intensity 5; d = 2.561 Å, 2θ 35.03, intensity 46; d = 2.507 Å, 2θ 35.82, intensity 100; d = 1.811 Å, 2θ 50.38, intensity 20; d = 1.737 Å, 2θ 52.71, intensity 9; d = 1.468 Å, 2θ 63.35, intensity 35; d = 1.437 Å, 2θ 64.87, intensity 15; d = 1.281 Å, 2θ 74.02, intensity 6; d = 1.254 Å, 2θ 75.91, intensity 11; d = 1.146 Å, 2θ 84.59, intensity 7; d = 1.141 Å, 2θ 85.05, intensity 7; d = 1.103 Å, 2θ 88.71, intensity 7

Crystal structure
Cell: 3.622 3.622 6.946 Å, 90.00 90.00 90.00°
Element x y z (fractional)
Y: 0.000 0.000 0.250
Y: 0.000 0.000 0.750
Co: 0.500 0.500 0.000
Co: 0.500 0.500 0.500
C: 0.000 0.500 0.000
C: 0.500 0.000 0.500

[3]
Diffraction record for Zr2CoC. The X-ray powder pattern is computed, not measured: it uses a DFT-relaxed cell (GGA-PBE, OQMD) and Cu Kα.
No peak broadening, texture or thermal motion is included.

Principal peaks in the range 10 to 90 degrees two-theta, low angle first:
d = 3.332 Å, 2θ 26.76, intensity 8; d = 2.822 Å, 2θ 31.71, intensity 16; d = 2.761 Å, 2θ 32.43, intensity 28; d = 2.382 Å, 2θ 37.77, intensity 100; d = 2.221 Å, 2θ 40.61, intensity 19; d = 2.153 Å, 2θ 41.96, intensity 20; d = 1.745 Å, 2θ 52.42, intensity 8; d = 1.629 Å, 2θ 56.48, intensity 15; d = 1.578 Å, 2θ 58.48, intensity 15; d = 1.464 Å, 2θ 63.57, intensity 18; d = 1.403 Å, 2θ 66.65, intensity 13; d = 1.133 Å, 2θ 85.73, intensity 8

Crystal structure
Cell: 5.645 5.645 13.724 Å, 101.94 101.94 59.96°
Element x y z (fractional)
Zr: 0.036 0.871 0.608
Zr: 0.129 0.964 0.892
Zr: 0.199 0.365 0.096
Zr: 0.300 0.469 0.404
Zr: 0.365 0.199 0.596
Zr: 0.469 0.300 0.904
Zr: 0.531 0.700 0.096
Zr: 0.635 0.801 0.404
Zr: 0.700 0.531 0.596
Zr: 0.801 0.635 0.904
Zr: 0.871 0.036 0.108
Zr: 0.964 0.129 0.392
Co: 0.084 0.403 0.750
Co: 0.403 0.084 0.250
Co: 0.425 0.575 0.250
Co: 0.575 0.425 0.750
Co: 0.597 0.916 0.750
Co: 0.916 0.597 0.250
C: 0.000 0.500 0.500
C: 0.161 0.677 0.000
C: 0.323 0.839 0.500
C: 0.500 0.000 0.000
C: 0.677 0.161 0.500
C: 0.839 0.323 0.000

[4]
Diffraction record for Cs2Cu3C5N5. The X-ray powder pattern is computed, not measured: it uses a DFT-relaxed cell (GGA-PBE, OQMD) and Cu Kα.
No peak broadening, texture or thermal motion is included.

Principal peaks in the range 10 to 90 degrees two-theta, low angle first:
d = 4.147 Å, 2θ 21.43, intensity 100; d = 4.071 Å, 2θ 21.83, intensity 50; d = 3.795 Å, 2θ 23.44, intensity 39; d = 3.718 Å, 2θ 23.93, intensity 68; d = 3.351 Å, 2θ 26.60, intensity 58; d = 3.324 Å, 2θ 26.82, intensity 74; d = 3.154 Å, 2θ 28.29, intensity 36; d = 3.059 Å, 2θ 29.20, intensity 59; d = 2.976 Å, 2θ 30.03, intensity 91; d = 2.755 Å, 2θ 32.50, intensity 38; d = 2.580 Å, 2θ 34.77, intensity 39; d = 2.125 Å, 2θ 42.54, intensity 56

Crystal structure
Cell: 9.652 9.652 8.314 Å, 91.39 91.39 49.04°
Element x y z (fractional)
Cs: 0.072 0.702 0.919
Cs: 0.298 0.928 0.581
Cs: 0.702 0.072 0.419
Cs: 0.928 0.298 0.081
Cu: 0.138 0.471 0.385
Cu: 0.421 0.579 0.250
Cu: 0.471 0.138 0.885
Cu: 0.529 0.862 0.115
Cu: 0.579 0.421 0.750
Cu: 0.862 0.529 0.615
C: 0.081 0.367 0.734
C: 0.189 0.811 0.250
C: 0.278 0.489 0.530
C: 0.367 0.081 0.234
C: 0.489 0.278 0.030
C: 0.511 0.722 0.970
C: 0.633 0.919 0.766
C: 0.722 0.511 0.470
C: 0.811 0.189 0.750
C: 0.919 0.633 0.266
N: 0.042 0.958 0.250
N: 0.217 0.271 0.812
N: 0.271 0.217 0.312
N: 0.377 0.483 0.621
N: 0.483 0.377 0.121
N: 0.517 0.623 0.879
N: 0.623 0.517 0.379
N: 0.729 0.783 0.688
N: 0.783 0.729 0.188
N: 0.958 0.042 0.750

[5]
Diffraction record for CsCu3C4N4. The X-ray powder pattern is computed, not measured: it uses a DFT-relaxed cell (GGA-PBE, OQMD) and Cu Kα.
No peak broadening, texture or thermal motion is included.

Principal peaks in the range 10 to 90 degrees two-theta, low angle first:
d = 4.476 Å, 2θ 19.83, intensity 28; d = 3.954 Å, 2θ 22.48, intensity 29; d = 3.874 Å, 2θ 22.96, intensity 36; d = 3.728 Å, 2θ 23.87, intensity 63; d = 3.222 Å, 2θ 27.69, intensity 43; d = 3.203 Å, 2θ 27.85, intensity 80; d = 3.136 Å, 2θ 28.46, intensity 100; d = 3.069 Å, 2θ 29.09, intensity 46; d = 2.991 Å, 2θ 29.87, intensity 28; d = 2.975 Å, 2θ 30.03, intensity 39; d = 2.957 Å, 2θ 30.22, intensity 97; d = 1.864 Å, 2θ 48.86, intensity 32

Crystal structure
Cell: 6.677 10.064 13.732 Å, 90.00 110.20 90.00°
Element x y z (fractional)
Cs: 0.224 0.242 0.119
Cs: 0.224 0.258 0.619
Cs: 0.776 0.742 0.381
Cs: 0.776 0.758 0.881
Cu: 0.103 0.634 0.187
Cu: 0.103 0.866 0.687
Cu: 0.275 0.507 0.885
Cu: 0.275 0.993 0.385
Cu: 0.415 0.623 0.568
Cu: 0.415 0.877 0.068
Cu: 0.585 0.123 0.932
Cu: 0.585 0.377 0.432
Cu: 0.725 0.007 0.615
Cu: 0.725 0.493 0.115
Cu: 0.897 0.134 0.313
Cu: 0.897 0.366 0.813
C: 0.172 0.207 0.361
C: 0.172 0.293 0.861
C: 0.261 0.555 0.012
C: 0.261 0.945 0.512
C: 0.302 0.610 0.424
C: 0.302 0.890 0.924
C: 0.333 0.581 0.682
C: 0.333 0.919 0.182
C: 0.667 0.081 0.818
C: 0.667 0.419 0.318
C: 0.698 0.110 0.076
C: 0.698 0.390 0.576
C: 0.739 0.055 0.488
C: 0.739 0.445 0.988
C: 0.828 0.707 0.139
C: 0.828 0.793 0.639
N: 0.227 0.585 0.088
N: 0.227 0.915 0.588
N: 0.239 0.615 0.332
N: 0.239 0.885 0.832
N: 0.306 0.553 0.760
N: 0.306 0.947 0.260
N: 0.321 0.221 0.887
N: 0.321 0.279 0.387
N: 0.679 0.721 0.613
N: 0.679 0.779 0.113
N: 0.694 0.053 0.740
N: 0.694 0.447 0.240
N: 0.761 0.115 0.168
N: 0.761 0.385 0.668
N: 0.773 0.085 0.412
N: 0.773 0.415 0.912

[6]
Diffraction record for CsDy4CSe2. The X-ray powder pattern is computed, not measured: it uses a DFT-relaxed cell (GGA-PBE, OQMD) and Cu Kα.
No peak broadening, texture or thermal motion is included.

Principal peaks in the range 10 to 90 degrees two-theta, low angle first:
d = 3.600 Å, 2θ 24.73, intensity 21; d = 3.222 Å, 2θ 27.69, intensity 51; d = 3.078 Å, 2θ 29.01, intensity 20; d = 2.875 Å, 2θ 31.11, intensity 15; d = 2.648 Å, 2θ 33.85, intensity 100; d = 2.423 Å, 2θ 37.11, intensity 21; d = 2.212 Å, 2θ 40.79, intensity 17; d = 1.891 Å, 2θ 48.12, intensity 38; d = 1.855 Å, 2θ 49.12, intensity 16; d = 1.674 Å, 2θ 54.84, intensity 15; d = 1.539 Å, 2θ 60.13, intensity 19; d = 1.194 Å, 2θ 80.47, intensity 17

Crystal structure
Cell: 3.782 3.782 18.001 Å, 90.00 90.00 120.00°
Element x y z (fractional)
Cs: 0.000 0.000 0.000
Dy: 0.333 0.667 0.208
Dy: 0.333 0.667 0.427
Dy: 0.667 0.333 0.573
Dy: 0.667 0.333 0.792
C: 0.000 0.000 0.500
Se: 0.333 0.667 0.686
Se: 0.667 0.333 0.314

[7]
Diffraction record for CsEr6CI12. The X-ray powder pattern is computed, not measured: it uses a DFT-relaxed cell (GGA-PBE, OQMD) and Cu Kα.
No peak broadening, texture or thermal motion is included.

Principal peaks in the range 10 to 90 degrees two-theta, low angle first:
d = 7.133 Å, 2θ 12.41, intensity 9; d = 3.492 Å, 2θ 25.51, intensity 16; d = 3.018 Å, 2θ 29.60, intensity 100; d = 2.956 Å, 2θ 30.23, intensity 10; d = 2.621 Å, 2θ 34.21, intensity 11; d = 2.140 Å, 2θ 42.22, intensity 33; d = 2.127 Å, 2θ 42.49, intensity 31; d = 1.821 Å, 2θ 50.10, intensity 9; d = 1.746 Å, 2θ 52.41, intensity 14; d = 1.509 Å, 2θ 61.45, intensity 10; d = 1.353 Å, 2θ 69.48, intensity 10; d = 1.346 Å, 2θ 69.86, intensity 10

Crystal structure
Cell: 9.526 9.526 9.526 Å, 72.95 72.95 72.95°
Element x y z (fractional)
Cs: 0.000 0.000 0.000
Er: 0.235 0.470 0.588
Er: 0.412 0.765 0.530
Er: 0.470 0.588 0.235
Er: 0.530 0.412 0.765
Er: 0.588 0.235 0.470
Er: 0.765 0.530 0.412
C: 0.500 0.500 0.500
I: 0.081 0.780 0.645
I: 0.139 0.568 0.289
I: 0.220 0.355 0.919
I: 0.289 0.139 0.568
I: 0.355 0.919 0.220
I: 0.432 0.711 0.861
I: 0.568 0.289 0.139
I: 0.645 0.081 0.780
I: 0.711 0.861 0.432
I: 0.780 0.645 0.081
I: 0.861 0.432 0.711
I: 0.919 0.220 0.355

[8]
Diffraction record for CsFeC3N3. The X-ray powder pattern is computed, not measured: it uses a DFT-relaxed cell (GGA-PBE, OQMD) and Cu Kα.
No peak broadening, texture or thermal motion is included.

Principal peaks in the range 10 to 90 degrees two-theta, low angle first:
d = 3.515 Å, 2θ 25.34, intensity 100; d = 2.870 Å, 2θ 31.17, intensity 20; d = 2.485 Å, 2θ 36.14, intensity 36; d = 2.223 Å, 2θ 40.58, intensity 7; d = 2.029 Å, 2θ 44.66, intensity 34; d = 1.757 Å, 2θ 52.04, intensity 19; d = 1.657 Å, 2θ 55.46, intensity 5; d = 1.572 Å, 2θ 58.74, intensity 25; d = 1.435 Å, 2θ 65.00, intensity 5; d = 1.328 Å, 2θ 70.95, intensity 23; d = 1.172 Å, 2θ 82.30, intensity 10; d = 1.111 Å, 2θ 87.83, intensity 7

Crystal structure
Cell: 7.029 7.029 7.029 Å, 60.00 60.00 60.00°
Element x y z (fractional)
Cs: 0.250 0.250 0.250
Cs: 0.750 0.750 0.750
Fe: 0.000 0.000 0.000
Fe: 0.500 0.500 0.500
C: 0.189 0.189 0.811
C: 0.189 0.811 0.189
C: 0.189 0.811 0.811
C: 0.811 0.189 0.189
C: 0.811 0.189 0.811
C: 0.811 0.811 0.189
N: 0.308 0.308 0.692
N: 0.308 0.692 0.308
N: 0.308 0.692 0.692
N: 0.692 0.308 0.308
N: 0.692 0.308 0.692
N: 0.692 0.692 0.308